Diffraction record for Li5Mn2P2C2O14. The PXRD pattern is theoretical, not measured: it uses a structure optimized by DFT (PBE+U) and Cu Kα, 1.54184 Å.

Most intense lines, 5 to 70 degrees two-theta, low angle first:
Position (°2θ)  d [Å]  I_rel  hkl
10.36  8.536  87  0 0 1
19.56  4.539  38  1 0 -1
21.30  4.171  74  1 0 1
26.01  3.425  33  1 0 -2
27.59  3.233  100  0 2 0
31.44  2.845  17  0 0 3
36.14  2.485  31  2 0 -1
40.03  2.252  14  1 -1 3
40.66  2.219  19  1 1 3
56.94  1.617  23  0 4 0

Cell and atoms:
```
Li5Mn2P2C2O14
1.0
5.0692 0.0000 0.0000
-0.0466 6.4682 0.0000
-0.8245 -0.1909 8.5358
Li Mn P C O
5 2 2 2 14
direct
0.0000 0.0000 0.0000 Li
0.0029 0.4536 0.0071 Li
0.0907 0.7091 0.6259 Li
0.4889 0.2385 0.8360 Li
0.5644 0.9429 0.4705 Li
0.0819 0.2315 0.4028 Mn
0.4857 0.7311 0.0728 Mn
0.0134 0.7364 0.3215 P
0.5400 0.2276 0.1452 P
0.6149 0.7417 0.7806 C
0.9644 0.2203 0.6937 C
0.0691 0.5437 0.4221 O
0.1241 0.7167 0.1592 O
0.1526 0.9142 0.4263 O
0.2114 0.2456 0.6744 O
0.3645 0.7297 0.7958 O
0.4241 0.0440 0.0360 O
0.4354 0.2283 0.3060 O
0.4431 0.4152 0.0420 O
0.7143 0.7635 0.6516 O
0.7144 0.7823 0.2912 O
0.7761 0.7324 0.9138 O
0.8002 0.1934 0.5680 O
0.8491 0.2235 0.1620 O
0.8783 0.2250 0.8321 O
```